# 1
For Ba3Mo2P4O18, a cell relaxed with GGA+U gives the simulated powder XRD pattern in this record (Cu Kα X-rays).
Neutral-atom scattering factors, no anomalous dispersion.

Principal peaks in the range 10 to 90 degrees two-theta, sorted by position:
- 2θ = 19.40°, I = 82
- 2θ = 21.50°, I = 100
- 2θ = 21.83°, I = 80
- 2θ = 22.92°, I = 99
- 2θ = 24.52°, I = 50
- 2θ = 28.41°, I = 48
- 2θ = 30.31°, I = 60
- 2θ = 30.66°, I = 74
- 2θ = 31.00°, I = 69
- 2θ = 48.31°, I = 46

Structural model:
Unit cell a=4.949 b=9.365 c=18.343 alpha=88.72 beta=88.79 gamma=78.43
Element x y z (fractional)
Ba1 0.049 0.406 0.346
Ba2 0.270 0.995 0.748
Ba3 0.393 0.600 0.148
Ba4 0.607 0.400 0.852
Ba5 0.730 0.005 0.252
Ba6 0.951 0.594 0.654
Mo1 0.194 0.232 0.554
Mo2 0.327 0.774 0.946
Mo3 0.673 0.226 0.054
Mo4 0.806 0.768 0.446
P1 0.144 0.258 0.179
P2 0.196 0.159 0.933
P3 0.262 0.857 0.565
P4 0.363 0.714 0.321
P5 0.637 0.286 0.679
P6 0.738 0.143 0.435
P7 0.804 0.841 0.067
P8 0.856 0.742 0.821
O1 0.000 0.176 0.123
O2 0.000 0.824 0.877
O3 0.007 0.793 0.541
O4 0.012 0.419 0.190
O5 0.116 0.821 0.043
O6 0.155 0.017 0.588
O7 0.158 0.171 0.252
O8 0.163 0.699 0.386
O9 0.209 0.227 0.857
O10 0.223 0.413 0.540
O11 0.226 0.811 0.258
O12 0.315 0.590 0.953
O13 0.328 0.995 0.932
O14 0.337 0.241 0.989
O15 0.391 0.764 0.630
O16 0.398 0.212 0.652
O17 0.453 0.248 0.152
O18 0.454 0.857 0.497
O19 0.484 0.558 0.295
O20 0.516 0.442 0.705
O21 0.546 0.143 0.503
O22 0.547 0.752 0.848
O23 0.602 0.788 0.348
O24 0.609 0.236 0.370
O25 0.663 0.759 0.011
O26 0.672 0.005 0.068
O27 0.685 0.410 0.047
O28 0.774 0.189 0.742
O29 0.777 0.587 0.460
O30 0.791 0.773 0.143
O31 0.837 0.301 0.614
O32 0.842 0.829 0.748
O33 0.845 0.983 0.412
O34 0.884 0.179 0.957
O35 0.988 0.581 0.810
O36 0.993 0.207 0.459

---

# 2
For Ba2Pa3MoO12, a cell relaxed with GGA+U gives the simulated powder XRD pattern in this record (Cu Kα X-rays).
Neutral-atom scattering factors, no anomalous dispersion.

Principal peaks in the range 10 to 90 degrees two-theta, sorted by position:
- 2θ = 13.57°, I = 49
- 2θ = 15.86°, I = 42
- 2θ = 26.05°, I = 71
- 2θ = 26.37°, I = 100
- 2θ = 27.34°, I = 51
- 2θ = 28.53°, I = 37
- 2θ = 35.17°, I = 40
- 2θ = 41.53°, I = 32
- 2θ = 45.15°, I = 41
- 2θ = 54.28°, I = 41

Structural model:
Unit cell a=7.789 b=7.789 c=7.789 alpha=62.08 beta=62.08 gamma=62.08
Element x y z (fractional)
Ba1 0.179 0.179 0.179
Ba2 0.821 0.821 0.821
Pa1 0.000 0.500 0.500
Pa2 0.500 0.000 0.500
Pa3 0.500 0.500 0.000
Mo1 0.500 0.500 0.500
O1 0.173 0.173 0.537
O2 0.173 0.537 0.173
O3 0.200 0.564 0.564
O4 0.436 0.436 0.800
O5 0.436 0.800 0.436
O6 0.463 0.827 0.827
O7 0.537 0.173 0.173
O8 0.564 0.200 0.564
O9 0.564 0.564 0.200
O10 0.800 0.436 0.436
O11 0.827 0.463 0.827
O12 0.827 0.827 0.463

---

# 3
For BaMo2PbO8, a cell relaxed with GGA+U gives the simulated powder XRD pattern in this record (Cu Kα X-rays).
Neutral-atom scattering factors, no anomalous dispersion.

Principal peaks in the range 10 to 90 degrees two-theta, sorted by position:
- 2θ = 16.80°, I = 58
- 2θ = 20.21°, I = 75
- 2θ = 28.16°, I = 100
- 2θ = 29.31°, I = 82
- 2θ = 37.22°, I = 17
- 2θ = 41.10°, I = 50
- 2θ = 45.46°, I = 18
- 2θ = 51.27°, I = 38
- 2θ = 55.30°, I = 18
- 2θ = 68.31°, I = 17

Structural model:
Unit cell a=6.094 b=6.094 c=7.926 alpha=90.00 beta=90.00 gamma=120.00
Element x y z (fractional)
Ba1 0.000 0.000 0.000
Mo1 0.333 0.667 0.793
Mo2 0.667 0.333 0.207
Pb1 0.000 0.000 0.500
O1 0.170 0.340 0.725
O2 0.170 0.830 0.725
O3 0.333 0.667 0.016
O4 0.340 0.170 0.275
O5 0.660 0.830 0.725
O6 0.667 0.333 0.984
O7 0.830 0.170 0.275
O8 0.830 0.660 0.275

---

# 4
For BaRe2MoO8, a cell relaxed with GGA+U gives the simulated powder XRD pattern in this record (Cu Kα X-rays).
Neutral-atom scattering factors, no anomalous dispersion.

Principal peaks in the range 10 to 90 degrees two-theta, sorted by position:
- 2θ = 21.25°, I = 100
- 2θ = 29.98°, I = 53
- 2θ = 30.47°, I = 62
- 2θ = 37.44°, I = 12
- 2θ = 40.84°, I = 17
- 2θ = 43.27°, I = 25
- 2θ = 49.01°, I = 22
- 2θ = 53.84°, I = 22
- 2θ = 54.14°, I = 12
- 2θ = 59.27°, I = 20

Structural model:
Unit cell a=5.868 b=5.868 c=7.361 alpha=90.00 beta=90.00 gamma=120.00
Element x y z (fractional)
Ba1 0.000 0.000 0.000
Re1 0.333 0.667 0.756
Re2 0.667 0.333 0.244
Mo1 0.000 0.000 0.500
O1 0.159 0.323 0.682
O2 0.164 0.841 0.682
O3 0.323 0.164 0.318
O4 0.333 0.667 0.000
O5 0.667 0.333 0.000
O6 0.677 0.836 0.682
O7 0.836 0.159 0.318
O8 0.841 0.677 0.318

---

# 5
For BaMo2Se2O11, a cell relaxed with GGA+U gives the simulated powder XRD pattern in this record (Cu Kα X-rays).
Neutral-atom scattering factors, no anomalous dispersion.

Principal peaks in the range 10 to 90 degrees two-theta, sorted by position:
- 2θ = 21.78°, I = 44
- 2θ = 22.19°, I = 66
- 2θ = 22.76°, I = 66
- 2θ = 24.48°, I = 66
- 2θ = 24.84°, I = 42
- 2θ = 31.29°, I = 28
- 2θ = 31.97°, I = 100
- 2θ = 38.80°, I = 39
- 2θ = 39.28°, I = 36
- 2θ = 50.74°, I = 28

Structural model:
Unit cell a=9.004 b=9.004 c=8.013 alpha=90.00 beta=90.00 gamma=53.89
Element x y z (fractional)
Ba1 0.237 0.763 0.500
Ba2 0.763 0.237 0.000
Mo1 0.154 0.627 0.995
Mo2 0.373 0.846 0.995
Mo3 0.627 0.154 0.495
Mo4 0.846 0.373 0.495
Se1 0.123 0.293 0.144
Se2 0.293 0.123 0.644
Se3 0.707 0.877 0.144
Se4 0.877 0.707 0.644
O1 0.041 0.487 0.016
O2 0.085 0.636 0.731
O3 0.135 0.149 0.994
O4 0.149 0.135 0.494
O5 0.153 0.667 0.209
O6 0.184 0.816 0.920
O7 0.333 0.847 0.209
O8 0.364 0.915 0.731
O9 0.381 0.436 0.963
O10 0.436 0.381 0.463
O11 0.487 0.041 0.516
O12 0.513 0.959 0.016
O13 0.564 0.619 0.963
O14 0.619 0.564 0.463
O15 0.636 0.085 0.231
O16 0.667 0.153 0.709
O17 0.816 0.184 0.420
O18 0.847 0.333 0.709
O19 0.851 0.865 0.994
O20 0.865 0.851 0.494
O21 0.915 0.364 0.231
O22 0.959 0.513 0.516

---

# 6
For BaSm2Mo4O16, a cell relaxed with GGA+U gives the simulated powder XRD pattern in this record (Cu Kα X-rays).
Neutral-atom scattering factors, no anomalous dispersion.

Principal peaks in the range 10 to 90 degrees two-theta, sorted by position:
- 2θ = 24.98°, I = 88
- 2θ = 25.64°, I = 92
- 2θ = 26.89°, I = 69
- 2θ = 27.04°, I = 71
- 2θ = 27.92°, I = 76
- 2θ = 28.22°, I = 73
- 2θ = 28.33°, I = 100
- 2θ = 29.06°, I = 81
- 2θ = 30.23°, I = 68
- 2θ = 33.33°, I = 68

Structural model:
Unit cell a=6.973 b=6.973 c=19.978 alpha=90.61 beta=90.61 gamma=134.64
Element x y z (fractional)
Ba1 0.031 0.969 0.750
Ba2 0.969 0.031 0.250
Sm1 0.146 0.850 0.532
Sm2 0.150 0.854 0.968
Sm3 0.850 0.146 0.032
Sm4 0.854 0.150 0.468
Mo1 0.258 0.739 0.148
Mo2 0.261 0.742 0.352
Mo3 0.431 0.549 0.910
Mo4 0.451 0.569 0.590
Mo5 0.549 0.431 0.410
Mo6 0.569 0.451 0.090
Mo7 0.739 0.258 0.648
Mo8 0.742 0.261 0.852
O1 0.019 0.742 0.174
O2 0.075 0.593 0.433
O3 0.086 0.389 0.133
O4 0.104 0.486 0.291
O5 0.174 0.514 0.955
O6 0.226 0.261 0.536
O7 0.226 0.317 0.399
O8 0.258 0.981 0.326
O9 0.261 0.226 0.036
O10 0.300 0.468 0.668
O11 0.317 0.226 0.899
O12 0.389 0.086 0.633
O13 0.407 0.925 0.067
O14 0.468 0.300 0.168
O15 0.486 0.104 0.791
O16 0.486 0.826 0.545
O17 0.514 0.174 0.455
O18 0.514 0.896 0.209
O19 0.532 0.700 0.832
O20 0.593 0.075 0.933
O21 0.611 0.914 0.367
O22 0.683 0.774 0.101
O23 0.700 0.532 0.332
O24 0.739 0.774 0.964
O25 0.742 0.019 0.674
O26 0.774 0.683 0.601
O27 0.774 0.739 0.464
O28 0.826 0.486 0.045
O29 0.896 0.514 0.709
O30 0.914 0.611 0.867
O31 0.925 0.407 0.567
O32 0.981 0.258 0.826